Simulated X-ray diffraction stick pattern of Mg14NiBiO16 for Cu Kα (weighted mean of Kα1 and Kα2), from a DFT-relaxed cell (PBE+U, the Materials Project).
Intensities are scaled so that the largest is 100.

Most intense lines, 10° ≤ 2θ ≤ 80°, in order of rising 2θ:
2θ/deg	I (rel.)
10.11	100.0
20.42	39.7
22.77	39.6
22.85	39.1
28.91	34.9
30.82	34.6
35.65	54.5
41.17	52.0
41.44	52.5
41.60	50.1

Crystal structure
Cell lengths 4.3579, 8.6843, 8.7695 Å; angles 90.00, 90.00, 90.00 degrees
Space group Pmmm (No. 47)
Asymmetric unit:
Mg1 0.0000 0.0000 0.0000 [1 per cell]
Mg2 0.0000 0.2364 0.2443 [4 per cell]
Mg3 0.0000 0.5000 0.0000 [1 per cell]
Mg4 0.5000 0.0000 0.2510 [2 per cell]
Mg5 0.5000 0.2295 0.5000 [2 per cell]
Mg6 0.5000 0.2451 0.0000 [2 per cell]
Mg7 0.5000 0.5000 0.2347 [2 per cell]
Ni1 0.0000 0.0000 0.5000 [1 per cell]
Bi1 0.0000 0.5000 0.5000 [1 per cell]
O1 0.0000 0.0000 0.2269 [2 per cell]
O2 0.0000 0.2372 0.5000 [2 per cell]
O3 0.0000 0.2522 0.0000 [2 per cell]
O4 0.0000 0.5000 0.2327 [2 per cell]
O5 0.5000 0.0000 0.0000 [1 per cell]
O6 0.5000 0.0000 0.5000 [1 per cell]
O7 0.5000 0.2514 0.2518 [4 per cell]
O8 0.5000 0.5000 0.0000 [1 per cell]
O9 0.5000 0.5000 0.5000 [1 per cell]